Simulated powder diffraction line list
Compound: PmPH2Ru2
Radiation: Cu Kα (weighted mean of Kα1 and Kα2)
Structure: a GGA-PBE-relaxed structure
Lines closer than 0.1° are merged.

Crystal structure
```
12
Lattice="2.821 -5.068 0.000 2.821 5.068 0.000 0.000 0.000 5.659" Properties=species:S:1:pos:R:3 pbc="T T T"
Pm 2.821 2.605 4.244
Pm 2.821 -2.605 1.415
P 2.821 3.928 1.415
P 2.821 -3.928 4.244
H 1.870 1.011 1.415
H 1.870 -1.011 4.244
H 3.772 1.011 1.415
H 3.772 -1.011 4.244
Ru 1.492 0.000 0.000
Ru 1.492 0.000 2.829
Ru 4.150 0.000 0.000
Ru 4.150 0.000 2.829
```

Most intense lines, 2θ from 10° to 90°, in order of rising 2θ:
2θ = 17.5°, I = 6.4; 2θ = 23.9°, I = 38.4; 2θ = 34.8°, I = 28.4; 2θ = 35.4°, I = 23.0; 2θ = 36.4°, I = 100.0; 2θ = 45.4°, I = 31.9; 2θ = 50.5°, I = 7.9; 2θ = 58.4°, I = 6.4; 2θ = 58.9°, I = 20.9; 2θ = 64.2°, I = 20.2; 2θ = 77.9°, I = 10.6; 2θ = 78.0°, I = 9.9

***

Simulated powder diffraction line list
Compound: PrPH
Radiation: Cu Kα (weighted mean of Kα1 and Kα2)
Structure: a GGA-PBE-relaxed structure
Lines closer than 0.1° are merged.

Crystal structure
```
12
Lattice="8.239 0.000 0.000 0.000 4.336 0.000 0.000 0.000 5.990" Properties=species:S:1:pos:R:3 pbc="T T T"
Pr 0.986 1.084 1.496
Pr 3.133 3.252 4.491
Pr 5.106 1.084 1.500
Pr 7.252 3.252 4.495
P 0.992 1.084 4.474
P 3.127 3.252 1.479
P 5.111 1.084 4.511
P 7.247 3.252 1.516
H 1.790 3.252 2.309
H 2.329 1.084 5.304
H 5.909 3.252 0.686
H 6.448 1.084 3.681
```

Most intense lines, 2θ from 10° to 90°, in order of rising 2θ:
2θ = 25.4°, I = 40.0; 2θ = 26.3°, I = 37.7; 2θ = 29.9°, I = 100.0; 2θ = 41.7°, I = 13.6; 2θ = 42.8°, I = 49.5; 2θ = 44.0°, I = 11.2; 2θ = 49.9°, I = 13.7; 2θ = 51.4°, I = 12.4; 2θ = 52.1°, I = 13.8; 2θ = 54.0°, I = 12.2; 2θ = 70.3°, I = 13.5; 2θ = 70.5°, I = 11.0

***

Simulated powder diffraction line list
Compound: PrPH2Ru2
Radiation: Cu Kα (weighted mean of Kα1 and Kα2)
Structure: a GGA-PBE-relaxed structure
Lines closer than 0.1° are merged.

Crystal structure
```
12
Lattice="2.829 -5.170 0.000 2.829 5.170 0.000 0.000 0.000 5.671" Properties=species:S:1:pos:R:3 pbc="T T T"
Pr 2.829 2.650 4.253
Pr 2.829 -2.650 1.418
P 2.829 4.038 1.418
P 2.829 -4.038 4.253
H 1.877 1.003 1.418
H 1.877 -1.003 4.253
H 3.780 1.003 1.418
H 3.780 -1.003 4.253
Ru 1.497 0.000 0.000
Ru 1.497 0.000 2.836
Ru 4.161 0.000 0.000
Ru 4.161 0.000 2.836
```

Most intense lines, 2θ from 10° to 90°, in order of rising 2θ:
2θ = 17.2°, I = 8.1; 2θ = 23.8°, I = 36.8; 2θ = 34.3°, I = 28.6; 2θ = 34.7°, I = 24.2; 2θ = 36.2°, I = 100.0; 2θ = 45.3°, I = 31.8; 2θ = 49.6°, I = 7.7; 2θ = 58.0°, I = 12.1; 2θ = 58.3°, I = 21.4; 2θ = 63.2°, I = 21.5; 2θ = 77.5°, I = 10.5; 2θ = 77.7°, I = 9.8

***

Simulated powder diffraction line list
Compound: Pr4PHS2
Radiation: Cu Kα (weighted mean of Kα1 and Kα2)
Structure: a GGA-PBE-relaxed structure
Lines closer than 0.1° are merged.

Crystal structure
```
16
Lattice="5.768 0.000 0.000 0.000 5.768 0.000 0.000 0.000 11.580" Properties=species:S:1:pos:R:3 pbc="T T T"
Pr 0.000 0.000 2.825
Pr 0.000 0.000 8.755
Pr 0.000 2.884 5.809
Pr 0.000 2.884 11.561
Pr 2.884 0.000 0.019
Pr 2.884 0.000 5.771
Pr 2.884 2.884 2.965
Pr 2.884 2.884 8.616
P 0.000 2.884 8.685
P 2.884 0.000 2.895
H 0.000 0.000 5.790
H 2.884 2.884 0.000
S 0.000 0.000 0.000
S 0.000 2.884 2.895
S 2.884 0.000 8.685
S 2.884 2.884 5.790
```

Most intense lines, 2θ from 10° to 90°, in order of rising 2θ:
2θ = 26.7°, I = 100.0; 2θ = 30.9°, I = 35.4; 2θ = 31.0°, I = 70.8; 2θ = 44.4°, I = 77.2; 2θ = 52.4°, I = 15.9; 2θ = 52.6°, I = 32.4; 2θ = 55.1°, I = 26.8; 2θ = 71.1°, I = 12.7; 2θ = 73.2°, I = 11.1; 2θ = 73.4°, I = 22.8; 2θ = 81.6°, I = 8.3; 2θ = 81.7°, I = 17.1

***

Simulated powder diffraction line list
Compound: Pr4PHSe2
Radiation: Cu Kα (weighted mean of Kα1 and Kα2)
Structure: a GGA-PBE-relaxed structure
Lines closer than 0.1° are merged.

Crystal structure
```
8
Lattice="7.107 0.000 0.000 0.000 4.159 0.000 -2.344 0.000 6.884" Properties=species:S:1:pos:R:3 pbc="T T T"
Pr 1.183 0.000 1.593
Pr -0.014 2.080 5.234
Pr 4.776 2.080 1.650
Pr 3.579 0.000 5.292
P 0.000 2.080 0.000
H 3.553 0.000 0.000
Se -1.172 0.000 3.442
Se 2.381 2.080 3.442
```

Most intense lines, 2θ from 10° to 90°, in order of rising 2θ:
2θ = 25.9°, I = 17.2; 2θ = 26.3°, I = 34.7; 2θ = 26.5°, I = 17.0; 2θ = 30.3°, I = 100.0; 2θ = 30.6°, I = 48.5; 2θ = 43.2°, I = 54.1; 2θ = 43.5°, I = 18.6; 2θ = 44.0°, I = 35.9; 2θ = 51.7°, I = 11.3; 2θ = 54.1°, I = 19.1; 2θ = 63.0°, I = 11.7; 2θ = 80.3°, I = 12.0

***

Simulated powder diffraction line list
Compound: Pu8P5H
Radiation: Cu Kα (weighted mean of Kα1 and Kα2)
Structure: a GGA-PBE-relaxed structure
Lines closer than 0.1° are merged.

Crystal structure
```
14
Lattice="-4.201 4.201 4.277 4.201 -4.201 4.277 4.201 4.201 -4.277" Properties=species:S:1:pos:R:3 pbc="T T T"
Pu 3.600 2.566 -2.557
Pu 3.584 1.508 0.513
Pu 2.693 -0.617 3.764
Pu 0.601 1.635 1.720
Pu 1.508 4.818 -0.513
Pu 1.635 -0.601 6.834
Pu 2.566 4.802 2.557
Pu 0.617 2.693 4.790
P 2.068 -1.001 1.054
P 5.202 -2.133 3.223
P 6.334 1.001 1.054
P 0.000 0.000 4.277
P 3.199 2.133 3.223
H 0.000 4.201 2.139
```

Most intense lines, 2θ from 10° to 90°, in order of rising 2θ:
2θ = 25.7°, I = 35.8; 2θ = 25.9°, I = 74.9; 2θ = 29.8°, I = 33.7; 2θ = 30.1°, I = 20.1; 2θ = 33.2°, I = 48.7; 2θ = 33.7°, I = 100.0; 2θ = 39.7°, I = 45.3; 2θ = 39.9°, I = 33.0; 2θ = 40.1°, I = 27.8; 2θ = 53.3°, I = 31.2; 2θ = 55.4°, I = 20.9; 2θ = 55.8°, I = 40.9

***

Simulated powder diffraction line list
Compound: Pu2P2H
Radiation: Cu Kα (weighted mean of Kα1 and Kα2)
Structure: a GGA-PBE-relaxed structure
Lines closer than 0.1° are merged.

Crystal structure
```
20
Lattice="7.698 0.000 0.000 0.000 6.690 0.000 0.000 0.000 6.915" Properties=species:S:1:pos:R:3 pbc="T T T"
Pu 0.918 0.589 1.729
Pu 0.918 2.756 5.186
Pu 2.850 3.859 1.729
Pu 2.850 6.176 5.186
Pu 4.847 0.514 1.729
Pu 4.847 2.831 5.186
Pu 6.780 3.934 1.729
Pu 6.780 6.101 5.186
P 1.025 5.017 0.000
P 1.025 5.017 3.457
P 2.941 1.672 0.000
P 2.941 1.672 3.457
P 4.757 5.017 0.000
P 4.757 5.017 3.457
P 6.673 1.672 0.000
P 6.673 1.672 3.457
H 0.949 0.566 5.186
H 0.949 2.779 1.729
H 6.748 3.911 5.186
H 6.748 6.124 1.729
```

Most intense lines, 2θ from 10° to 90°, in order of rising 2θ:
2θ = 25.8°, I = 24.0; 2θ = 26.7°, I = 11.6; 2θ = 29.7°, I = 100.0; 2θ = 37.4°, I = 29.3; 2θ = 47.1°, I = 16.4; 2θ = 47.2°, I = 8.1; 2θ = 48.0°, I = 27.8; 2θ = 54.5°, I = 13.1; 2θ = 56.8°, I = 11.0; 2θ = 73.6°, I = 9.0; 2θ = 74.2°, I = 7.9; 2θ = 76.7°, I = 9.3

***

Simulated powder diffraction line list
Compound: PuPHRh2
Radiation: Cu Kα (weighted mean of Kα1 and Kα2)
Structure: a GGA-PBE-relaxed structure
Lines closer than 0.1° are merged.

Crystal structure
```
10
Lattice="1.909 -5.306 0.000 1.909 5.306 0.000 0.000 0.000 7.016" Properties=species:S:1:pos:R:3 pbc="T T T"
Pu 1.909 4.733 5.262
Pu 1.909 -4.733 1.754
P 1.909 2.913 1.754
P 1.909 -2.913 5.262
H 1.909 0.000 0.000
H 1.909 0.000 3.508
Rh 1.909 1.731 3.888
Rh 1.909 1.731 6.636
Rh 1.909 -1.731 0.380
Rh 1.909 -1.731 3.128
```

Most intense lines, 2θ from 10° to 90°, in order of rising 2θ:
2θ = 24.8°, I = 16.1; 2θ = 27.9°, I = 22.4; 2θ = 30.6°, I = 39.9; 2θ = 34.6°, I = 57.4; 2θ = 35.8°, I = 100.0; 2θ = 36.2°, I = 46.0; 2θ = 36.9°, I = 50.2; 2θ = 42.2°, I = 28.7; 2θ = 47.6°, I = 26.0; 2θ = 52.7°, I = 18.0; 2θ = 61.3°, I = 20.3; 2θ = 64.1°, I = 31.6

***

Simulated powder diffraction line list
Compound: RbP2H6
Radiation: Cu Kα (weighted mean of Kα1 and Kα2)
Structure: a GGA-PBE-relaxed structure
Lines closer than 0.1° are merged.

Crystal structure
```
18
Lattice="0.000 7.638 3.143 6.116 0.000 3.143 6.116 7.638 0.000" Properties=species:S:1:pos:R:3 pbc="T T T"
Rb 0.000 0.000 0.000
Rb 3.058 3.819 1.572
P 8.241 8.198 2.823
P 11.298 10.896 4.395
P 3.991 7.077 2.823
P 7.049 12.017 4.395
H 5.714 4.970 0.962
H 7.052 4.985 2.558
H 9.575 8.789 2.534
H 8.883 6.968 3.229
H 0.402 2.668 0.962
H 8.237 8.804 4.129
H 5.825 4.488 4.800
H 2.656 6.487 2.534
H 5.179 10.290 2.558
H 3.995 6.472 4.129
H 3.349 8.307 3.229
H 6.407 10.787 4.800
```

Most intense lines, 2θ from 10° to 90°, in order of rising 2θ:
2θ = 16.9°, I = 57.3; 2θ = 18.6°, I = 22.5; 2θ = 23.3°, I = 49.9; 2θ = 23.6°, I = 23.0; 2θ = 26.7°, I = 100.0; 2θ = 30.8°, I = 59.8; 2θ = 31.5°, I = 52.5; 2θ = 33.4°, I = 27.7; 2θ = 39.6°, I = 19.9; 2θ = 40.0°, I = 17.9; 2θ = 46.1°, I = 18.9; 2θ = 58.5°, I = 14.6

***

Simulated powder diffraction line list
Compound: RbZn2PH2
Radiation: Cu Kα (weighted mean of Kα1 and Kα2)
Structure: a GGA-PBE-relaxed structure
Lines closer than 0.1° are merged.

Crystal structure
```
12
Lattice="7.342 0.000 0.000 0.000 5.029 0.000 -3.373 0.000 6.731" Properties=species:S:1:pos:R:3 pbc="T T T"
Rb 0.341 1.257 1.944
Rb 3.627 3.772 4.787
Zn -0.130 0.000 5.464
Zn -0.130 2.514 5.464
Zn 4.098 5.028 1.267
Zn 4.098 2.515 1.267
P 2.123 3.772 0.518
P 1.845 1.257 6.213
H -1.123 1.257 4.699
H 0.253 3.772 4.267
H 3.715 1.257 2.465
H 5.091 3.772 2.033
```

Most intense lines, 2θ from 10° to 90°, in order of rising 2θ:
2θ = 13.2°, I = 56.8; 2θ = 13.5°, I = 61.8; 2θ = 14.0°, I = 69.9; 2θ = 22.1°, I = 43.4; 2θ = 22.6°, I = 64.1; 2θ = 24.3°, I = 100.0; 2θ = 26.5°, I = 77.5; 2θ = 27.2°, I = 33.6; 2θ = 35.4°, I = 53.2; 2θ = 38.5°, I = 89.0; 2θ = 42.8°, I = 50.6; 2θ = 52.9°, I = 44.4

***

Simulated powder diffraction line list
Compound: RePHS2
Radiation: Cu Kα (weighted mean of Kα1 and Kα2)
Structure: a GGA-PBE-relaxed structure
Lines closer than 0.1° are merged.

Crystal structure
```
5
Lattice="4.420 0.000 0.000 0.000 4.420 0.000 0.000 0.000 3.280" Properties=species:S:1:pos:R:3 pbc="T T T"
Re 0.000 0.000 0.000
P 2.210 2.210 0.000
H 0.000 0.000 1.640
S 0.000 2.210 1.640
S 2.210 0.000 1.640
```

Most intense lines, 2θ from 10° to 90°, in order of rising 2θ:
2θ = 20.1°, I = 85.7; 2θ = 27.2°, I = 18.6; 2θ = 28.6°, I = 34.7; 2θ = 34.0°, I = 45.8; 2θ = 39.8°, I = 100.0; 2θ = 40.8°, I = 47.4; 2θ = 45.9°, I = 21.2; 2θ = 49.7°, I = 15.7; 2θ = 54.2°, I = 25.7; 2θ = 59.1°, I = 15.6; 2θ = 71.7°, I = 17.6; 2θ = 73.7°, I = 32.3

***

Simulated powder diffraction line list
Compound: SrPH2Rh2
Radiation: Cu Kα (weighted mean of Kα1 and Kα2)
Structure: a GGA-PBE-relaxed structure
Lines closer than 0.1° are merged.

Crystal structure
```
12
Lattice="3.946 -4.579 0.000 3.946 4.579 0.000 0.000 0.000 5.539" Properties=species:S:1:pos:R:3 pbc="T T T"
Sr 3.946 2.771 4.154
Sr 3.946 -2.771 1.385
P 3.946 1.141 1.385
P 3.946 -1.141 4.154
H 1.446 0.387 4.154
H 1.446 -0.387 1.385
H 6.446 0.387 4.154
H 6.446 -0.387 1.385
Rh 2.513 0.000 0.000
Rh 2.513 0.000 2.770
Rh 5.378 0.000 0.000
Rh 5.378 0.000 2.770
```

Most intense lines, 2θ from 10° to 90°, in order of rising 2θ:
2θ = 14.8°, I = 84.6; 2θ = 19.4°, I = 72.2; 2θ = 21.9°, I = 35.7; 2θ = 29.9°, I = 100.0; 2θ = 31.4°, I = 38.8; 2θ = 35.5°, I = 76.2; 2θ = 38.0°, I = 92.2; 2θ = 39.8°, I = 67.5; 2θ = 48.8°, I = 52.7; 2θ = 51.8°, I = 26.4; 2θ = 56.9°, I = 47.5; 2θ = 61.7°, I = 27.2